Record 1
The following is a calculated powder X-ray diffraction pattern of VTePbBr2. It was derived from a crystal structure in Alexandria, relaxed with GGA-PBE, using Cu Kα (weighted mean of Kα1 and Kα2).
No peak broadening, texture or thermal motion is included.

Cell and atoms:
Cell lengths 4.7708, 4.7708, 6.2098 Å; angles 90.00, 90.00, 90.00 degrees
Positions (direct):
V 0.0000 0.0000 0.0000
Te 0.5000 0.5000 0.5000
Pb 0.0000 0.0000 0.5000
Br 0.0000 0.5000 0.0000
Br 0.5000 0.0000 0.0000

Peak list (8 most intense, 2θ from 10° to 90°, in order of falling intensity)
Position (°2θ), I (rel.)
30.15, 100
28.75, 43
37.71, 41
48.10, 41
63.45, 24
51.82, 22
62.68, 18
26.42, 16

Record 2
The following is a calculated powder X-ray diffraction pattern of SrTl5. It was derived from a crystal structure in Alexandria, relaxed with GGA-PBE, using Cu Kα (weighted mean of Kα1 and Kα2).
No peak broadening, texture or thermal motion is included.

Cell and atoms:
Cell lengths 6.0868, 10.7032, 6.1328 Å; angles 90.00, 108.96, 90.00 degrees
Positions (direct):
Sr 0.0265 0.2500 0.2812
Sr 0.9735 0.7500 0.7188
Tl 0.0125 0.0830 0.7695
Tl 0.0125 0.4170 0.7695
Tl 0.4769 0.7500 0.2228
Tl 0.4846 0.5741 0.7366
Tl 0.4846 0.9259 0.7366
Tl 0.5154 0.0741 0.2634
Tl 0.5154 0.4259 0.2634
Tl 0.5231 0.2500 0.7772
Tl 0.9875 0.5830 0.2305
Tl 0.9875 0.9170 0.2305

Peak list (8 most intense, 2θ from 10° to 90°, in order of falling intensity)
Position (°2θ), I (rel.)
30.84, 100
35.68, 44
31.07, 33
36.12, 23
51.52, 22
61.11, 17
51.84, 16
64.26, 12

Record 3
The following is a calculated powder X-ray diffraction pattern of NbHW. It was derived from a crystal structure in Alexandria, relaxed with GGA-PBE, using Cu Kα (weighted mean of Kα1 and Kα2).
No peak broadening, texture or thermal motion is included.

Cell and atoms:
Cell lengths 5.5436, 5.5436, 5.5436 Å; angles 145.18, 129.76, 62.58 degrees
Positions (direct):
Nb 0.1172 0.3672 0.7500
Nb 0.3828 0.1328 0.2500
H 0.5084 0.7500 0.2584
H 0.9916 0.2500 0.2416
W 0.6190 0.8690 0.7500
W 0.8810 0.6310 0.2500

Peak list (8 most intense, 2θ from 10° to 90°, in order of falling intensity)
Position (°2θ), I (rel.)
38.25, 100
69.14, 21
37.99, 20
55.01, 14
68.80, 13
81.87, 11
21.08, 8
69.31, 7